(1)
This entry pairs a crystal structure of SrH2 with its simulated PXRD pattern. Radiation: Cu Kα (weighted mean of Kα1 and Kα2). Structure: the PBE geometry in the Materials Project.
Lines closer than 0.1° are merged.

Atomic structure:
```
SrH2
1.0
4.091 0.000 0.000
0.000 7.171 0.000
0.000 0.000 5.731
Sr H
4 8
Cartesian
0.000 1.162 1.433
0.000 6.010 4.298
2.045 2.424 4.298
2.045 4.748 1.433
0.000 1.207 4.298
0.000 3.586 0.000
0.000 3.586 2.865
0.000 5.965 1.433
2.045 0.000 0.000
2.045 0.000 2.865
2.045 2.379 1.433
2.045 4.793 4.298
```

Principal peaks in the range 2θ = 15–90°, sorted by position:
2θ (°), I_rel
24.8, 11
25.1, 29
29.4, 56
29.6, 100
31.2, 31
40.4, 18
43.9, 25
44.3, 12
54.0, 20
54.5, 18
54.8, 25
55.2, 12

=====

(2)
This entry pairs a crystal structure of Sm2CuIr with its simulated PXRD pattern. Radiation: Cu Kα (weighted mean of Kα1 and Kα2). Structure: the PBE geometry in the Materials Project.
Lines closer than 0.1° are merged.

Atomic structure:
```
Sm2CuIr
1.0
7.038 0.000 0.000
0.000 7.038 0.000
0.000 0.000 7.038
Sm Cu Ir
8 4 4
Cartesian
1.759 1.759 1.759
1.759 1.759 5.278
1.759 5.278 1.759
1.759 5.278 5.278
5.278 1.759 1.759
5.278 1.759 5.278
5.278 5.278 1.759
5.278 5.278 5.278
0.000 0.000 0.000
0.000 3.519 3.519
3.519 0.000 3.519
3.519 3.519 0.000
0.000 0.000 3.519
0.000 3.519 0.000
3.519 0.000 0.000
3.519 3.519 3.519
```

Principal peaks in the range 2θ = 15–90°, sorted by position:
2θ (°), I_rel
21.9, 11
25.3, 1
36.1, 100
42.6, 6
52.0, 18
57.0, 3
64.9, 36
69.4, 2
76.6, 11
80.8, 2
87.7, 16

=====

(3)
This entry pairs a crystal structure of Nd3Se2O2 with its simulated PXRD pattern. Radiation: Cu Kα (weighted mean of Kα1 and Kα2). Structure: the PBE geometry in the Materials Project.
Lines closer than 0.1° are merged.

Atomic structure:
```
Nd3Se2O2
1.0
12.181 -2.025 0.000
12.181 2.025 0.000
-0.889 0.000 9.358
Nd Se O
9 6 6
Cartesian
0.000 0.000 0.000
1.976 0.000 3.351
3.650 0.000 9.248
6.490 0.000 3.265
10.974 0.000 3.014
12.498 0.000 6.345
16.982 0.000 6.094
19.822 0.000 0.111
21.495 0.000 6.007
2.625 0.000 6.324
6.960 0.000 6.290
9.148 0.000 9.106
14.324 0.000 0.253
16.511 0.000 3.069
20.847 0.000 3.034
-0.158 0.000 2.333
6.669 0.000 0.853
10.375 0.000 5.279
13.097 0.000 4.079
16.803 0.000 8.506
23.630 0.000 7.025
```

Principal peaks in the range 2θ = 15–90°, sorted by position:
2θ (°), I_rel
24.8, 14
28.6, 60
29.7, 100
34.1, 10
35.6, 42
39.2, 9
40.2, 10
44.8, 21
46.7, 10
47.2, 30
54.0, 19
61.7, 9

=====

(4)
This entry pairs a crystal structure of RbC2N3 with its simulated PXRD pattern. Radiation: Cu Kα (weighted mean of Kα1 and Kα2). Structure: the PBE geometry in the Materials Project.
Lines closer than 0.1° are merged.

Atomic structure:
```
RbC2N3
1.0
7.013 -5.094 0.000
7.013 5.094 0.000
-6.604 0.000 13.048
Rb C N
8 16 24
Cartesian
0.714 3.257 11.924
3.407 3.257 7.648
3.836 0.059 1.686
0.534 -0.059 8.209
6.889 0.059 4.838
3.587 -0.059 11.362
4.016 -3.257 5.400
6.709 -3.257 1.124
4.170 3.463 1.537
-2.708 1.344 9.478
0.854 1.574 4.915
0.594 -1.344 2.954
6.554 3.463 4.987
2.847 0.457 5.099
-2.448 -1.574 11.439
-0.455 -0.457 11.622
7.878 0.457 1.425
9.871 1.574 1.609
4.576 -0.457 7.949
0.868 -3.463 8.060
6.828 1.344 10.094
6.569 -1.574 8.133
10.130 -1.344 3.570
3.252 -3.463 11.511
-4.406 1.379 12.472
3.445 3.039 2.532
0.494 3.046 8.676
-2.344 0.791 8.496
0.958 -0.791 1.972
1.834 1.086 5.626
-1.104 -1.379 5.948
3.627 3.046 10.896
7.280 3.039 3.992
0.500 0.126 11.239
-1.468 -1.086 12.150
3.802 -0.126 4.715
3.620 0.126 8.333
8.891 1.086 0.898
6.922 -0.126 1.809
0.143 -3.039 9.055
3.796 -3.046 2.152
8.527 1.379 7.100
5.589 -1.086 7.422
6.464 0.791 11.076
9.766 -0.791 4.552
6.929 -3.046 4.372
3.978 -3.039 10.516
11.829 -1.379 0.576
```

Principal peaks in the range 2θ = 15–90°, sorted by position:
2θ (°), I_rel
23.0, 37
23.6, 32
25.4, 79
26.7, 34
27.2, 100
27.3, 54
27.4, 29
32.0, 45
38.3, 28
41.3, 29
41.8, 32
43.4, 27

=====

(5)
This entry pairs a crystal structure of CdN with its simulated PXRD pattern. Radiation: Cu Kα (weighted mean of Kα1 and Kα2). Structure: the PBE geometry in the Materials Project.
Lines closer than 0.1° are merged.

Atomic structure:
```
CdN
1.0
5.146 0.000 0.000
0.000 5.146 0.000
0.000 0.000 5.146
Cd N
4 4
Cartesian
0.000 0.000 0.000
0.000 2.573 2.573
2.573 0.000 2.573
2.573 2.573 0.000
1.287 1.287 3.860
1.287 3.860 1.287
3.860 1.287 1.287
3.860 3.860 3.860
```

Principal peaks in the range 2θ = 15–90°, sorted by position:
2θ (°), I_rel
30.1, 100
34.9, 39
50.1, 41
59.6, 40
62.5, 9
73.6, 6
81.5, 16
84.1, 12

=====

(6)
This entry pairs a crystal structure of Co2Ni2Te5 with its simulated PXRD pattern. Radiation: Cu Kα (weighted mean of Kα1 and Kα2). Structure: the PBE geometry in the Materials Project.
Lines closer than 0.1° are merged.

Atomic structure:
```
Co2Ni2Te5
1.0
6.631 0.000 0.000
3.176 5.829 0.000
1.992 1.176 9.150
Co Ni Te
4 4 10
Cartesian
1.598 0.920 2.801
4.786 2.805 8.224
7.013 4.200 0.926
10.201 6.085 6.349
2.552 1.540 7.382
3.808 2.297 3.634
7.991 4.708 5.516
9.247 5.465 1.767
4.597 5.345 8.656
3.679 3.507 5.950
5.830 6.113 5.054
4.856 4.220 2.271
3.769 0.922 1.343
8.030 6.083 7.806
6.943 2.785 6.879
5.969 0.891 4.096
8.120 3.498 3.199
7.202 1.660 0.494
```

Principal peaks in the range 2θ = 15–90°, sorted by position:
2θ (°), I_rel
31.2, 100
31.4, 50
43.0, 23
43.1, 23
43.2, 22
46.5, 43
46.5, 22
57.0, 18
58.4, 12
58.5, 10
58.6, 12
76.6, 11